1.
Starting from a DFT-relaxed cell (GGA+U, the Materials Project), the X-ray powder pattern of NaCr2FeO8 was simulated for CuKα.
Intensities are scaled so that the largest is 100.

Structure:
abc: 5.0525 5.0525 7.1758
angles: 92.02 92.02 65.86
Fractional coordinates of all 12 atoms:
Na1 0.0000 0.0000 0.0000
Cr1 0.3682 0.3682 0.7115
Cr2 0.6318 0.6318 0.2885
Fe1 0.0000 0.0000 0.5000
O1 0.2262 0.7370 0.6950
O2 0.2268 0.2268 0.5451
O3 0.2630 0.7738 0.3050
O4 0.2931 0.2931 0.9144
O5 0.7069 0.7069 0.0856
O6 0.7370 0.2262 0.6950
O7 0.7732 0.7732 0.4549
O8 0.7738 0.2630 0.3050

Main lines, most intense first (2θ from 5° to 70°):
- d 3.918, 22.69 deg, I = 100.0
- d 7.169, 12.35 deg, I = 88.9
- d 2.862, 31.26 deg, I = 69.8
- d 3.582, 24.86 deg, I = 67.5
- d 2.512, 35.74 deg, I = 52.8
- d 2.747, 32.60 deg, I = 38.4
- d 2.799, 31.98 deg, I = 33.7
- d 3.838, 23.18 deg, I = 27.9

---

2.
Starting from a DFT-relaxed cell (GGA+U, the Materials Project), the X-ray powder pattern of Li2Ti3CoO8 was simulated for CuKα.
Intensities are scaled so that the largest is 100.

Structure:
abc: 5.9452 9.7695 10.2976
angles: 89.99 89.99 89.98
Fractional coordinates of all 56 atoms:
Li1 0.0000 0.0000 0.0000
Li2 0.0002 0.1084 0.3334
Li3 0.9998 0.5000 0.6669
Li4 0.9997 0.6086 0.3337
Li5 0.4998 0.9997 0.5003
Li6 0.5002 0.1085 0.8334
Li7 0.5000 0.4993 0.1666
Li8 0.4998 0.6084 0.8336
Ti1 0.0001 0.3252 0.1650
Ti2 0.2466 0.3252 0.9183
Ti3 0.2469 0.8255 0.7488
Ti4 0.2531 0.3250 0.4175
Ti5 0.2530 0.8244 0.2494
Ti6 0.4999 0.3249 0.6648
Ti7 0.4998 0.8250 0.0023
Ti8 0.7467 0.3244 0.4178
Ti9 0.7465 0.8249 0.2498
Ti10 0.7531 0.3257 0.9183
Ti11 0.7528 0.8249 0.7489
Ti12 0.9995 0.8254 0.5026
Co1 0.9998 0.1067 0.6672
Co2 0.0000 0.6067 0.0001
Co3 0.4981 0.6002 0.4984
Co4 0.5014 0.1003 0.1646
O1 0.9998 0.2144 0.0003
O2 0.9998 0.2163 0.4917
O3 0.9999 0.4249 0.3339
O4 0.9998 0.4377 0.8509
O5 0.0001 0.7144 0.6668
O6 0.0001 0.7160 0.1754
O7 0.0001 0.9247 0.3332
O8 0.0000 0.9376 0.8162
O9 0.2237 0.4377 0.0748
O10 0.2238 0.9379 0.5922
O11 0.2374 0.2171 0.2547
O12 0.2376 0.7168 0.4125
O13 0.2629 0.2161 0.7543
O14 0.2631 0.7162 0.9129
O15 0.2762 0.4381 0.5749
O16 0.2762 0.9380 0.0925
O17 0.4999 0.2142 0.5002
O18 0.4997 0.2166 0.9917
O19 0.4997 0.4246 0.8334
O20 0.4997 0.4384 0.3513
O21 0.5000 0.7141 0.1671
O22 0.5003 0.7169 0.6755
O23 0.5001 0.9247 0.8339
O24 0.5002 0.9384 0.3157
O25 0.7233 0.4382 0.5747
O26 0.7236 0.9380 0.0923
O27 0.7371 0.2163 0.7543
O28 0.7369 0.7161 0.9128
O29 0.7624 0.2172 0.2548
O30 0.7625 0.7170 0.4126
O31 0.7757 0.4377 0.0748
O32 0.7763 0.9379 0.5921

Main lines, most intense first (2θ from 5° to 70°):
- d 4.555, 19.49 deg, I = 100.0
- d 2.539, 35.35 deg, I = 62.9
- d 4.885, 18.16 deg, I = 55.5
- d 2.020, 44.88 deg, I = 53.4
- d 1.556, 59.38 deg, I = 47.3
- d 1.486, 62.49 deg, I = 41.7
- d 2.277, 39.57 deg, I = 40.9
- d 2.752, 32.53 deg, I = 40.3

---

3.
Starting from a DFT-relaxed cell (GGA+U, the Materials Project), the X-ray powder pattern of LaFeTeO6 was simulated for CuKα.
Intensities are scaled so that the largest is 100.

Structure:
abc: 5.2756 5.2756 10.4569
angles: 90.39 90.39 121.30
Fractional coordinates of all 18 atoms:
La1 0.0000 0.0000 0.0000
La2 0.0000 0.0000 0.5000
Fe1 0.3301 0.6699 0.7500
Fe2 0.6699 0.3301 0.2500
Te1 0.3361 0.6639 0.2500
Te2 0.6639 0.3361 0.7500
O1 0.0031 0.6255 0.3525
O2 0.0092 0.3774 0.1411
O3 0.3596 0.3771 0.3560
O4 0.3745 0.9969 0.1475
O5 0.3774 0.0092 0.6411
O6 0.3771 0.3596 0.8560
O7 0.6229 0.6404 0.1440
O8 0.6226 0.9908 0.3589
O9 0.6255 0.0031 0.8525
O10 0.6404 0.6229 0.6440
O11 0.9908 0.6226 0.8589
O12 0.9969 0.3745 0.6475

Main lines, most intense first (2θ from 5° to 70°):
- d 3.453, 25.80 deg, I = 100.0
- d 3.434, 25.95 deg, I = 100.0
- d 3.394, 26.26 deg, I = 97.8
- d 2.637, 34.00 deg, I = 68.7
- d 1.850, 49.25 deg, I = 49.7
- d 1.863, 48.89 deg, I = 48.9
- d 2.585, 34.70 deg, I = 31.2
- d 2.105, 42.97 deg, I = 23.9

---

4.
Starting from a DFT-relaxed cell (GGA+U, the Materials Project), the X-ray powder pattern of Fe3As2O8 was simulated for CuKα.
Intensities are scaled so that the largest is 100.

Structure:
abc: 8.6004 8.6004 4.8087
angles: 96.55 96.55 109.68
Fractional coordinates of all 13 atoms:
Fe1 0.0000 0.0000 0.0000
Fe2 0.4005 0.5995 0.0000
Fe3 0.5995 0.4005 0.0000
As1 0.3114 0.3114 0.3714
As2 0.6886 0.6886 0.6286
O1 0.1324 0.1324 0.3344
O2 0.2514 0.4625 0.2335
O3 0.3755 0.3755 0.7311
O4 0.4625 0.2514 0.2335
O5 0.5375 0.7486 0.7665
O6 0.6245 0.6245 0.2689
O7 0.7486 0.5375 0.7665
O8 0.8676 0.8676 0.6656

Main lines, most intense first (2θ from 5° to 70°):
- d 7.031, 12.59 deg, I = 100.0
- d 7.989, 11.07 deg, I = 39.5
- d 3.089, 28.90 deg, I = 13.1
- d 3.289, 27.12 deg, I = 11.8
- d 4.385, 20.25 deg, I = 10.5
- d 3.798, 23.43 deg, I = 9.6
- d 2.402, 37.45 deg, I = 8.1
- d 2.828, 31.63 deg, I = 7.7

---

5.
Starting from a DFT-relaxed cell (GGA+U, the Materials Project), the X-ray powder pattern of Sr3MnFeO7 was simulated for CuKα.
Intensities are scaled so that the largest is 100.

Structure:
abc: 10.4484 10.4484 5.5436
angles: 90.01 90.01 149.23
Fractional coordinates of all 24 atoms:
Sr1 0.0000 0.0000 0.0000
Sr2 0.1825 0.8175 0.0000
Sr3 0.3645 0.6355 0.0000
Sr4 0.5000 0.5000 0.5000
Sr5 0.6826 0.3174 0.5000
Sr6 0.8645 0.1355 0.5000
Mn1 0.0844 0.9156 0.5000
Mn2 0.5846 0.4154 0.0000
Fe1 0.2795 0.7205 0.5000
Fe2 0.7794 0.2206 0.0000
O1 0.0160 0.4599 0.7619
O2 0.0409 0.4839 0.2625
O3 0.1824 0.8176 0.5000
O4 0.3365 0.1632 0.2503
O5 0.3367 0.1632 0.7501
O6 0.3757 0.6243 0.5000
O7 0.4891 0.5109 0.0000
O8 0.5161 0.9591 0.7375
O9 0.5401 0.9840 0.2381
O10 0.6822 0.3178 0.0000
O11 0.8368 0.6633 0.2499
O12 0.8368 0.6635 0.7497
O13 0.8761 0.1239 0.0000
O14 0.9897 0.0103 0.5000

Main lines, most intense first (2θ from 5° to 70°):
- d 2.810, 31.85 deg, I = 100.0
- d 2.772, 32.30 deg, I = 69.4
- d 1.960, 46.33 deg, I = 44.0
- d 1.607, 57.32 deg, I = 37.4
- d 2.138, 42.28 deg, I = 25.1
- d 1.405, 66.56 deg, I = 16.0
- d 2.015, 44.99 deg, I = 14.9
- d 1.630, 56.46 deg, I = 14.1

---

6.
Starting from a DFT-relaxed cell (GGA+U, the Materials Project), the X-ray powder pattern of Na8MgNi2O8 was simulated for CuKα.
Intensities are scaled so that the largest is 100.

Structure:
abc: 5.7316 5.7897 8.8959
angles: 88.75 72.67 70.76
Fractional coordinates of all 19 atoms:
Na1 0.0000 0.0000 0.0000
Na2 0.0528 0.4954 0.8361
Na3 0.2405 0.9822 0.6065
Na4 0.4112 0.6433 0.3302
Na5 0.5129 0.5018 0.9701
Na6 0.5932 0.9868 0.8060
Na7 0.7436 0.0505 0.3852
Na8 0.8972 0.4799 0.1827
Mg1 0.0452 0.3671 0.4867
Ni1 0.4307 0.0853 0.1441
Ni2 0.5423 0.5035 0.6333
O1 0.1822 0.0625 0.3407
O2 0.2569 0.2449 0.0021
O3 0.3321 0.7415 0.7919
O4 0.3362 0.3734 0.5599
O5 0.6169 0.2750 0.1788
O6 0.6879 0.7868 0.0410
O7 0.7437 0.6380 0.4576
O8 0.8206 0.2767 0.6898

Main lines, most intense first (2θ from 5° to 70°):
- d 2.658, 33.73 deg, I = 100.0
- d 5.149, 17.22 deg, I = 99.3
- d 4.767, 18.61 deg, I = 92.6
- d 4.437, 20.01 deg, I = 91.2
- d 2.441, 36.82 deg, I = 89.5
- d 2.312, 38.95 deg, I = 79.1
- d 2.343, 38.43 deg, I = 56.6
- d 2.723, 32.89 deg, I = 48.4